Simulated XRD peak list
Compound: BaYNbSnO6
Radiation: Cu Kα (weighted mean of Kα1 and Kα2)
Structure: the PBE geometry in the Materials Project
Intensities are scaled so that the largest is 100.

Peak list (6 most intense, 15° ≤ 2θ ≤ 90°, by angle)
d/Å, intensity
3.005, 100
2.125, 32
1.735, 41
1.502, 20
1.344, 18
1.136, 22

Structure:
abc: 6.0092 6.0092 6.0092
angles: 60.00 60.00 60.00
Element x y z (fractional)
Ba: 0.0000 0.0000 0.0000
Y: 0.2500 0.2500 0.2500
Nb: 0.7500 0.7500 0.7500
Sn: 0.5000 0.5000 0.5000
O: 0.5132 0.5132 0.9868
O: 0.5132 0.9868 0.5132
O: 0.5132 0.9868 0.9868
O: 0.9868 0.5132 0.5132
O: 0.9868 0.5132 0.9868
O: 0.9868 0.9868 0.5132



Simulated XRD peak list
Compound: BaYNbSnO6
Radiation: Cu Kα (weighted mean of Kα1 and Kα2)
Structure: the PBE geometry in the Materials Project
Intensities are scaled so that the largest is 100.

Peak list (6 most intense, 15° ≤ 2θ ≤ 90°, by angle)
d/Å, intensity
2.997, 100
2.989, 33
2.969, 62
2.124, 19
1.728, 20
1.724, 23

Structure:
abc: 5.9335 5.9784 8.4952
angles: 90.43 90.18 90.60
Element x y z (fractional)
Ba: 0.0052 0.0197 0.2489
Ba: 0.9948 0.9803 0.7511
Y: 0.0000 0.5000 0.0000
Y: 0.5000 0.0000 0.5000
Nb: 0.0000 0.5000 0.5000
Nb: 0.5000 0.0000 0.0000
Sn: 0.4954 0.4857 0.7526
Sn: 0.5046 0.5143 0.2474
O: 0.0916 0.4939 0.7353
O: 0.1959 0.7710 0.4754
O: 0.2247 0.8038 0.0172
O: 0.2677 0.3006 0.4483
O: 0.3051 0.2762 0.0444
O: 0.4464 0.0322 0.7650
O: 0.5536 0.9678 0.2350
O: 0.6949 0.7238 0.9556
O: 0.7323 0.6994 0.5517
O: 0.7753 0.1962 0.9828
O: 0.8041 0.2290 0.5246
O: 0.9084 0.5061 0.2647